# 1
# Ca4Cd2Sn
Theoretical powder diffractogram, copper Kα. Input: a crystal structure in Alexandria, relaxed with GGA-PBE.
No peak broadening, texture or thermal motion is included.

Top 8 peaks for 10° ≤ 2θ ≤ 80°, in order of rising 2θ:
19.4°, rel. 20
23.3°, rel. 27
32.9°, rel. 100
33.5°, rel. 95
47.6°, rel. 34
58.4°, rel. 18
59.4°, rel. 34
59.8°, rel. 18

Structure:
abc: 5.3569 5.3569 26.9130
angles: 90.00 90.00 120.00
Space group R-3m (No. 166, hexagonal axes)
Unique sites:
Ca (0.0000, 0.0000, 0.1241) [6 per cell]
Ca (0.0000, 0.0000, 0.3745) [6 per cell]
Cd (0.0000, 0.0000, 0.2506) [6 per cell]
Sn (0.0000, 0.0000, 0.5000) [3 per cell]

# 2
# LiPb5
Theoretical powder diffractogram, copper Kα. Input: a crystal structure in Alexandria, relaxed with GGA-PBE.
No peak broadening, texture or thermal motion is included.

Top 8 peaks for 10° ≤ 2θ ≤ 80°, in order of rising 2θ:
30.5°, rel. 31
31.1°, rel. 35
31.5°, rel. 19
33.6°, rel. 100
44.9°, rel. 15
50.0°, rel. 14
57.0°, rel. 23
60.1°, rel. 17

Structure:
abc: 5.7432 17.0149 3.5540
angles: 90.00 90.00 90.00
Space group Cmmm (No. 65)
Unique sites:
Li (0.0000, 0.0000, 0.0000) [2 per cell]
Pb (0.0000, 0.1408, 0.5000) [4 per cell]
Pb (0.0000, 0.3171, 0.0000) [4 per cell]
Pb (0.0000, 0.5000, 0.5000) [2 per cell]

# 3
# RbCuSn2
Theoretical powder diffractogram, copper Kα. Input: a crystal structure in Alexandria, relaxed with GGA-PBE.
No peak broadening, texture or thermal motion is included.

Top 8 peaks for 10° ≤ 2θ ≤ 80°, in order of rising 2θ:
11.8°, rel. 69
23.7°, rel. 26
28.3°, rel. 100
30.8°, rel. 62
36.6°, rel. 31
41.0°, rel. 73
47.0°, rel. 40
50.6°, rel. 20

Structure:
abc: 4.3998 4.3998 22.4502
angles: 90.00 90.00 120.00
Space group R-3m (No. 166, hexagonal axes)
Unique sites:
Rb (0.0000, 0.0000, 0.0000) [3 per cell]
Cu (0.0000, 0.0000, 0.5000) [3 per cell]
Sn (0.0000, 0.0000, 0.2094) [6 per cell]

# 4
# PrGePd6
Theoretical powder diffractogram, copper Kα. Input: a crystal structure in Alexandria, relaxed with GGA-PBE.
No peak broadening, texture or thermal motion is included.

Top 8 peaks for 10° ≤ 2θ ≤ 80°, in order of rising 2θ:
14.4°, rel. 30
26.7°, rel. 55
37.4°, rel. 100
38.4°, rel. 83
43.5°, rel. 28
43.7°, rel. 53
51.2°, rel. 32
66.8°, rel. 31

Structure:
abc: 5.6043 5.6043 18.4336
angles: 90.00 90.00 120.00
Space group R-3m (No. 166, hexagonal axes)
Unique sites:
Pr (0.0000, 0.0000, 0.0000) [3 per cell]
Ge (0.0000, 0.0000, 0.5000) [3 per cell]
Pd (0.0119, 0.5059, 0.9267) [18 per cell]